For LaAlGeRh, DFT lattice parameters and positions (GGA-PBE) gives the theoretical powder X-ray diffraction pattern in this record (Cu Kα, 1.54184 Å).

The 12 most intense peaks (10 to 90 degrees two-theta), sorted by position:
24.87 deg, I = 11.5, (1 0 1); 26.65 deg, I = 44.0, (0 1 2); 32.87 deg, I = 100.0, (1 0 4); 33.03 deg, I = 19.8, (0 0 6); 36.92 deg, I = 13.1, (0 1 5); 42.68 deg, I = 62.7, (1 1 0); 51.36 deg, I = 13.9, (0 1 8); 54.90 deg, I = 22.8, (0 2 4); 55.00 deg, I = 27.5, (1 1 6); 62.44 deg, I = 17.3, (1 0 10); 71.93 deg, I = 20.1, (2 1 4); 78.14 deg, I = 10.3, (3 0 0)

Atomic structure:
Lattice parameters (Å, degrees): 4.2370 4.2370 16.2707 90.00 90.00 120.00
Space group R3m (No. 160, hexagonal axes)
Inequivalent atoms, fractional coordinates:
La: 0.0000 0.0000 0.0000 (multiplicity 3)
Al: 0.0000 0.0000 0.7951 (multiplicity 3)
Ge: 0.0000 0.0000 0.2141 (multiplicity 3)
Rh: 0.0000 0.0000 0.5008 (multiplicity 3)